For MnCo2RhO6, a structure optimized by DFT (GGA+U) gives the computed X-ray powder pattern in this record (copper Kα).

Principal peaks in the range 2θ from 15° to 90°, by intensity:
2θ (°), intensity
35.4, 1000
33.3, 969
54.2, 728
24.1, 576
49.4, 379
63.6, 371

Structure:
```
MnCo2RhO6
1.0
2.5347 1.4634 4.5433
-2.5347 1.4634 4.5433
0.0000 -2.9268 4.5433
Mn Co Rh O
1 2 1 6
Direct
0.0000 0.0000 0.0000 Mn
0.2876 0.2876 0.2876 Co
0.8026 0.8026 0.8026 Co
0.4895 0.4895 0.4895 Rh
0.0743 0.7060 0.4113 O
0.1885 0.6006 0.8878 O
0.4113 0.0743 0.7060 O
0.6006 0.8878 0.1885 O
0.7060 0.4113 0.0743 O
0.8878 0.1885 0.6006 O
```